The following is a theoretical powder XRD pattern of Hg3Se3O10. It was derived from a GGA-PBE-relaxed structure, using Cu Kα X-rays.

Structure:
Unit cell a=8.3333 b=5.3535 c=11.1313 alpha=90.00 beta=108.57 gamma=90.00
Positions (direct):
Hg1 0.0108 0.0000 0.3790
Hg2 0.0137 0.4906 0.1334
Hg3 0.3837 0.9741 0.1983
Hg4 0.6163 0.4741 0.8017
Hg5 0.9863 0.9906 0.8666
Hg6 0.9892 0.5000 0.6210
Se1 0.2630 0.4726 0.9579
Se2 0.2839 0.5243 0.4316
Se3 0.3462 0.9837 0.7147
Se4 0.6538 0.4837 0.2853
Se5 0.7161 0.0243 0.5684
Se6 0.7370 0.9726 0.0421
O1 0.0937 0.3672 0.8315
O2 0.1251 0.6433 0.4876
O3 0.1687 0.3049 0.3200
O4 0.1699 0.7218 0.0138
O5 0.2187 0.8071 0.7682
O6 0.2303 0.2576 0.0651
O7 0.2486 0.1811 0.6003
O8 0.2702 0.7748 0.3322
O9 0.4624 0.1526 0.8431
O10 0.4769 0.7995 0.6650
O11 0.5231 0.2995 0.3350
O12 0.5376 0.6526 0.1569
O13 0.7298 0.2748 0.6678
O14 0.7514 0.6811 0.3997
O15 0.7697 0.7576 0.9349
O16 0.7813 0.3071 0.2318
O17 0.8301 0.2218 0.9862
O18 0.8313 0.8049 0.6800
O19 0.8749 0.1433 0.5124
O20 0.9063 0.8672 0.1685

Top 6 peaks for 2θ = 10–90°, by angle:
h k l, 2theta, I/Imax
1 0 0, 11.20, 24
1 1 2, 28.52, 100
2 1 -2, 28.84, 85
1 0 -4, 32.17, 27
0 2 0, 33.48, 27
1 2 -4, 47.12, 41